PmCu2IO8: simulated PXRD pattern (Cu Ka), based on a structure optimized by DFT (GGA-PBE).

Most intense lines, 10 to 90 degrees two-theta, in order of rising 2θ:
2θ = 18.77°, d = 4.728 Å, I = 253; 2θ = 25.61°, d = 3.478 Å, I = 1000; 2θ = 33.24°, d = 2.695 Å, I = 715; 2θ = 36.53°, d = 2.460 Å, I = 216; 2θ = 50.21°, d = 1.817 Å, I = 617; 2θ = 52.62°, d = 1.739 Å, I = 154; 2θ = 59.41°, d = 1.556 Å, I = 135; 2θ = 63.67°, d = 1.462 Å, I = 326; 2θ = 75.70°, d = 1.256 Å, I = 126; 2θ = 87.09°, d = 1.119 Å, I = 218

Structural model:
a b c (Å): 5.881 5.881 5.881
angles (deg): 107.47 107.47 113.55
Element x y z (fractional)
Pm 0.000 0.000 0.000
Cu 0.250 0.750 0.500
Cu 0.500 0.500 0.000
I 0.750 0.250 0.500
O 0.029 0.366 0.336
O 0.029 0.693 0.664
O 0.098 0.306 0.792
O 0.307 0.971 0.336
O 0.514 0.306 0.208
O 0.634 0.971 0.664
O 0.694 0.486 0.792
O 0.694 0.902 0.208



Cs2PN3: simulated PXRD pattern (Cu Ka), based on a structure optimized by DFT (GGA-PBE).

Most intense lines, 10 to 90 degrees two-theta, in order of rising 2θ:
2θ = 18.29°, d = 4.852 Å, I = 201; 2θ = 25.47°, d = 3.497 Å, I = 963; 2θ = 26.46°, d = 3.368 Å, I = 1000; 2θ = 31.54°, d = 2.837 Å, I = 177; 2θ = 37.06°, d = 2.426 Å, I = 452; 2θ = 44.91°, d = 2.018 Å, I = 250; 2θ = 45.51°, d = 1.993 Å, I = 348; 2θ = 52.17°, d = 1.753 Å, I = 260; 2θ = 52.34°, d = 1.748 Å, I = 198; 2θ = 59.58°, d = 1.552 Å, I = 206

Structural model:
a b c (Å): 6.993 6.993 8.106
angles (deg): 90.00 90.00 120.00
Element x y z (fractional)
Cs 0.000 0.000 0.000
Cs 0.000 0.000 0.500
Cs 0.333 0.667 0.248
Cs 0.667 0.333 0.752
P 0.333 0.667 0.750
P 0.667 0.333 0.250
N 0.204 0.408 0.750
N 0.204 0.796 0.750
N 0.408 0.204 0.250
N 0.592 0.796 0.750
N 0.796 0.204 0.250
N 0.796 0.592 0.250